# 1
Simulated PXRD pattern
Compound: TaSbPt4
Radiation: Cu Ka
Structure: a structure optimized by DFT (PBE)
Lines closer than 0.1° are merged.

Cell and atoms:
```
TaSbPt4
1.0
0.000 3.764 3.764
3.764 0.000 3.764
3.764 3.764 0.000
Ta Sb Pt
1 1 4
Direct
0.000 0.000 0.000
0.250 0.250 0.250
0.123 0.626 0.626
0.626 0.123 0.626
0.626 0.626 0.123
0.626 0.626 0.626
```

Main lines, low angle first (5 to 70 degrees two-theta):
20.4 deg, 4.346 Å, rel. 16
33.7 deg, 2.661 Å, rel. 20
39.7 deg, 2.270 Å, rel. 100
41.6 deg, 2.173 Å, rel. 49
48.4 deg, 1.882 Å, rel. 9
53.0 deg, 1.727 Å, rel. 4
60.2 deg, 1.537 Å, rel. 7
64.3 deg, 1.449 Å, rel. 33

# 2
Simulated PXRD pattern
Compound: CrH4Rh5
Radiation: Cu Ka
Structure: a structure optimized by DFT (PBE)
Lines closer than 0.1° are merged.

Cell and atoms:
```
CrH4Rh5
1.0
6.053 -1.403 0.000
6.053 1.403 0.000
-1.315 0.000 5.435
Cr H Rh
1 4 5
Direct
0.000 0.000 0.000
0.173 0.173 0.103
0.499 0.499 0.758
0.501 0.501 0.242
0.827 0.827 0.897
0.000 0.000 0.500
0.336 0.336 0.666
0.339 0.339 0.169
0.661 0.661 0.831
0.664 0.664 0.334
```

Main lines, low angle first (5 to 70 degrees two-theta):
39.5 deg, 2.282 Å, rel. 100
39.7 deg, 2.272 Å, rel. 33
45.8 deg, 1.981 Å, rel. 45
46.3 deg, 1.961 Å, rel. 21
66.7 deg, 1.403 Å, rel. 7
66.9 deg, 1.398 Å, rel. 7
67.1 deg, 1.396 Å, rel. 13
67.3 deg, 1.391 Å, rel. 13

# 3
Simulated PXRD pattern
Compound: CeErNiIr
Radiation: Cu Ka
Structure: a structure optimized by DFT (PBE)
Lines closer than 0.1° are merged.

Cell and atoms:
```
CeErNiIr
1.0
4.436 0.000 0.000
0.000 1.845 5.053
0.000 -1.845 5.053
Ce Er Ni Ir
1 1 1 1
Direct
0.000 0.000 0.000
0.500 0.278 0.278
0.500 0.558 0.558
0.000 0.723 0.723
```

Main lines, low angle first (5 to 70 degrees two-theta):
17.6 deg, 5.053 Å, rel. 18
32.8 deg, 2.732 Å, rel. 100
35.5 deg, 2.526 Å, rel. 25
36.1 deg, 2.488 Å, rel. 22
40.7 deg, 2.218 Å, rel. 30
41.1 deg, 2.195 Å, rel. 20
41.6 deg, 2.170 Å, rel. 59
49.4 deg, 1.845 Å, rel. 17

# 4
Simulated PXRD pattern
Compound: Dy3In2Ag2
Radiation: Cu Ka
Structure: a structure optimized by DFT (PBE)
Lines closer than 0.1° are merged.

Cell and atoms:
```
Dy3In2Ag2
1.0
2.282 -10.867 0.000
2.282 10.867 0.000
0.000 0.000 3.473
Dy In Ag
3 2 2
Direct
0.000 0.000 0.000
0.160 0.840 0.000
0.840 0.160 0.000
0.423 0.577 0.500
0.577 0.423 0.500
0.286 0.714 0.500
0.714 0.286 0.500
```

Main lines, low angle first (5 to 70 degrees two-theta):
32.7 deg, 2.742 Å, rel. 100
34.7 deg, 2.582 Å, rel. 18
35.0 deg, 2.567 Å, rel. 85
35.8 deg, 2.507 Å, rel. 63
39.5 deg, 2.282 Å, rel. 38
54.4 deg, 1.688 Å, rel. 37
64.8 deg, 1.438 Å, rel. 27
65.2 deg, 1.430 Å, rel. 20